1.
Diffraction record for NaTlHg. The X-ray powder pattern is calculated, not measured: it uses a DFT-relaxed cell (GGA-PBE, Alexandria) and Cu Ka.
Peak positions follow from Bragg's law for the DFT cell and can differ from measured ones.

Most intense lines, 2θ from 5° to 70°, in order of rising 2θ:
index	d (Å)	Rel. int.
1 0 2	3.827	16
1 1 1	3.781	30
2 0 2	2.710	22
0 1 3	2.690	100
0 2 0	2.639	25
0 3 3	1.533	19

Structure:
```
data_NaTlHg
_chemical_formula_sum 'Na4 Tl4 Hg4'
_symmetry_space_group_name_H-M 'P n m a'
_symmetry_Int_Tables_number 62
_cell_length_a 6.6473
_cell_length_b 5.2778
_cell_length_c 9.3604
_cell_angle_alpha 90.00
_cell_angle_beta 90.00
_cell_angle_gamma 90.00
loop_
_symmetry_equiv_pos_as_xyz
'x,y,z'
'-x,-y,-z'
'-x+1/2,-y,z+1/2'
'x+1/2,y,-z+1/2'
'x+1/2,-y+1/2,-z+1/2'
'-x+1/2,y+1/2,z+1/2'
'-x,y+1/2,-z'
'x,-y+1/2,z'
loop_
_atom_site_label
_atom_site_type_symbol
_atom_site_fract_x
_atom_site_fract_y
_atom_site_fract_z
Na1 Na 0.1973 0.2500 0.0776
Tl1 Tl 0.0196 0.2500 0.7294
Hg1 Hg 0.2097 0.2500 0.4096
```

---

2.
Diffraction record for Na4TlHg4. The X-ray powder pattern is calculated, not measured: it uses a DFT-relaxed cell (GGA-PBE, Alexandria) and Cu Ka.
Peak positions follow from Bragg's law for the DFT cell and can differ from measured ones.

Most intense lines, 2θ from 5° to 70°, in order of rising 2θ:
index	d (Å)	Rel. int.
1 1 0	6.462	82
1 1 1	4.401	51
1 2 1	3.379	95
1 3 0	2.890	73
3 0 1	2.718	66
2 1 2	2.421	100

Structure:
```
data_Na4TlHg4
_chemical_formula_sum 'Na8 Tl2 Hg8'
_symmetry_space_group_name_H-M 'P 42/n'
_symmetry_Int_Tables_number 86
_cell_length_a 9.1383
_cell_length_b 9.1383
_cell_length_c 6.0094
_cell_angle_alpha 90.00
_cell_angle_beta 90.00
_cell_angle_gamma 90.00
loop_
_symmetry_equiv_pos_as_xyz
'x,y,z'
'-x,-y,-z'
'-y,x+1/2,z+1/2'
'y,-x+1/2,-z+1/2'
'-x+1/2,-y+1/2,z'
'x+1/2,y+1/2,-z'
'y+1/2,-x,z+1/2'
'-y+1/2,x,-z+1/2'
loop_
_atom_site_label
_atom_site_type_symbol
_atom_site_fract_x
_atom_site_fract_y
_atom_site_fract_z
Na1 Na 0.0770 0.8257 0.1161
Tl1 Tl 0.2500 0.2500 0.7500
Hg1 Hg 0.0439 0.1480 0.3704
```

---

3.
Diffraction record for Na2Tl5Hg6. The X-ray powder pattern is calculated, not measured: it uses a DFT-relaxed cell (GGA-PBE, Alexandria) and Cu Ka.
Peak positions follow from Bragg's law for the DFT cell and can differ from measured ones.

Most intense lines, 2θ from 5° to 70°, in order of rising 2θ:
index	d (Å)	Rel. int.
-1 2 1	2.812	100
1 1 -3	2.700	88
0 3 -2	2.599	39
1 0 2	2.585	40
-3 1 2	2.087	21
-2 1 4	1.626	19

Structure:
```
data_Na2Tl5Hg6
_chemical_formula_sum 'Na2 Tl5 Hg6'
_symmetry_space_group_name_H-M 'P -1'
_symmetry_Int_Tables_number 2
_cell_length_a 6.7754
_cell_length_b 8.0937
_cell_length_c 8.2184
_cell_angle_alpha 115.91
_cell_angle_beta 104.20
_cell_angle_gamma 102.29
loop_
_symmetry_equiv_pos_as_xyz
'x,y,z'
'-x,-y,-z'
loop_
_atom_site_label
_atom_site_type_symbol
_atom_site_fract_x
_atom_site_fract_y
_atom_site_fract_z
Na1 Na 0.1837 0.1164 0.4080
Tl1 Tl 0.0000 0.5000 0.5000
Tl2 Tl 0.2170 0.4144 0.8898
Tl3 Tl 0.4089 0.0365 0.8074
Hg1 Hg 0.0618 0.8143 0.9381
Hg2 Hg 0.2952 0.7322 0.3424
Hg3 Hg 0.4717 0.3772 0.2765
```

---

4.
Diffraction record for Na11TlHg5. The X-ray powder pattern is calculated, not measured: it uses a DFT-relaxed cell (GGA-PBE, Alexandria) and Cu Ka.
Peak positions follow from Bragg's law for the DFT cell and can differ from measured ones.

Most intense lines, 2θ from 5° to 70°, in order of rising 2θ:
index	d (Å)	Rel. int.
1 1 -1	7.162	41
2 0 -2	4.137	100
2 2 0	3.670	34
3 3 -1	2.900	33
0 2 2	2.871	32
0 6 0	2.397	27

Structure:
```
data_Na11TlHg5
_chemical_formula_sum 'Na22 Tl2 Hg10'
_symmetry_space_group_name_H-M 'C 1 2/m 1'
_symmetry_Int_Tables_number 12
_cell_length_a 11.3165
_cell_length_b 14.3758
_cell_length_c 8.3037
_cell_angle_alpha 90.00
_cell_angle_beta 131.03
_cell_angle_gamma 90.00
loop_
_symmetry_equiv_pos_as_xyz
'x,y,z'
'-x,-y,-z'
'-x,y,-z'
'x,-y,z'
'x+1/2,y+1/2,z'
'-x+1/2,-y+1/2,-z'
'-x+1/2,y+1/2,-z'
'x+1/2,-y+1/2,z'
loop_
_atom_site_label
_atom_site_type_symbol
_atom_site_fract_x
_atom_site_fract_y
_atom_site_fract_z
Na1 Na 0.0000 0.0000 0.0000
Na2 Na 0.0441 0.1965 0.7666
Na3 Na 0.1784 0.3771 0.3140
Na4 Na 0.1964 0.5000 0.9791
Tl1 Tl 0.0000 0.0000 0.5000
Hg1 Hg 0.0000 0.5000 0.5000
Hg2 Hg 0.2367 0.3346 0.7274
```